# 1
# LiRh2Br
Simulated powder diffractogram, copper Kα. Input: a DFT-relaxed cell (GGA-PBE, Alexandria).
Neutral-atom scattering factors, no anomalous dispersion.

Structural model:
```
data_LiRh2Br
_chemical_formula_sum 'Li2 Rh4 Br2'
_cell_length_a 3.025
_cell_length_b 4.443
_cell_length_c 9.243
_cell_angle_alpha 90.00
_cell_angle_beta 90.00
_cell_angle_gamma 90.00
_space_group_name_H-M_alt 'I m m 2'
_space_group_IT_number 44
_space_group_name_Hall 'I 2 -2'
loop_
_atom_site_label
_atom_site_fract_x
_atom_site_fract_y
_atom_site_fract_z
_atom_site_occupancy
Li1 0.000 0.000 0.000 1
Rh1 0.000 0.000 0.520 1
Rh2 0.000 0.500 0.776 1
Br1 0.000 0.500 0.241 1
```

Peak list (6 most intense, 10° ≤ 2θ ≤ 90°, in order of rising 2θ)
2θ 22.20, d = 4.005 Å, I = 44, hkl 0 1 1
2θ 38.98, d = 2.311 Å, I = 26, hkl 0 0 4
2θ 40.61, d = 2.222 Å, I = 27, hkl 0 2 0
2θ 41.04, d = 2.199 Å, I = 100, hkl 1 1 2
2θ 57.55, d = 1.602 Å, I = 16, hkl 0 2 4
2θ 74.18, d = 1.278 Å, I = 17, hkl 1 3 2



# 2
# YbB3N3
Simulated powder diffractogram, copper Kα. Input: a DFT-relaxed cell (GGA-PBE, Alexandria).
Neutral-atom scattering factors, no anomalous dispersion.

Structural model:
```
data_YbB3N3
_chemical_formula_sum 'Yb2 B6 N6'
_cell_length_a 4.773
_cell_length_b 4.773
_cell_length_c 4.773
_cell_angle_alpha 90.00
_cell_angle_beta 90.00
_cell_angle_gamma 90.00
_space_group_name_H-M_alt 'P m -3 n'
_space_group_IT_number 223
_space_group_name_Hall '-P 4n 2 3'
loop_
_atom_site_label
_atom_site_fract_x
_atom_site_fract_y
_atom_site_fract_z
_atom_site_occupancy
Yb1 0.000 0.000 0.000 1
B1 0.000 0.250 0.500 1
N1 0.000 0.500 0.250 1
```

Peak list (6 most intense, 10° ≤ 2θ ≤ 90°, in order of rising 2θ)
2θ 26.41, d = 3.375 Å, I = 100, hkl 1 1 0
2θ 37.70, d = 2.386 Å, I = 34, hkl 2 0 0
2θ 46.61, d = 1.948 Å, I = 73, hkl 2 1 1
2θ 54.37, d = 1.687 Å, I = 15, hkl 2 2 0
2θ 61.43, d = 1.509 Å, I = 21, hkl 3 1 0
2θ 74.37, d = 1.276 Å, I = 36, hkl 3 2 1



# 3
# TaTlS3
Simulated powder diffractogram, copper Kα. Input: a DFT-relaxed cell (GGA-PBE, Alexandria).
Neutral-atom scattering factors, no anomalous dispersion.

Structural model:
```
data_TaTlS3
_chemical_formula_sum 'Ta4 Tl4 S12'
_cell_length_a 3.489
_cell_length_b 13.998
_cell_length_c 10.006
_cell_angle_alpha 90.00
_cell_angle_beta 90.00
_cell_angle_gamma 90.00
_space_group_name_H-M_alt 'A m m 2'
_space_group_IT_number 38
_space_group_name_Hall 'A 2 -2'
loop_
_atom_site_label
_atom_site_fract_x
_atom_site_fract_y
_atom_site_fract_z
_atom_site_occupancy
Ta1 0.000 0.242 0.000 1
Tl1 0.000 0.000 0.705 1
Tl2 0.500 0.000 0.170 1
S1 0.000 0.192 0.212 1
S2 0.500 0.135 0.505 1
S3 0.500 0.135 0.911 1
```

Peak list (6 most intense, 10° ≤ 2θ ≤ 90°, in order of rising 2θ)
2θ 21.84, d = 4.070 Å, I = 100, hkl 0 2 2
2θ 25.47, d = 3.498 Å, I = 38, hkl 0 4 0
2θ 27.82, d = 3.207 Å, I = 30, hkl 1 1 1
2θ 33.29, d = 2.692 Å, I = 45, hkl 1 3 1
2θ 33.84, d = 2.649 Å, I = 22, hkl 1 2 2
2θ 37.86, d = 2.376 Å, I = 22, hkl 1 1 3



# 4
# CsNaIr3
Simulated powder diffractogram, copper Kα. Input: a DFT-relaxed cell (GGA-PBE, Alexandria).
Neutral-atom scattering factors, no anomalous dispersion.

Structural model:
```
data_CsNaIr3
_chemical_formula_sum 'Cs1 Na1 Ir3'
_cell_length_a 4.895
_cell_length_b 4.895
_cell_length_c 4.895
_cell_angle_alpha 90.00
_cell_angle_beta 90.00
_cell_angle_gamma 90.00
_space_group_name_H-M_alt 'P m -3 m'
_space_group_IT_number 221
_space_group_name_Hall '-P 4 2 3'
loop_
_atom_site_label
_atom_site_fract_x
_atom_site_fract_y
_atom_site_fract_z
_atom_site_occupancy
Cs1 0.000 0.000 0.000 1
Na1 0.500 0.500 0.500 1
Ir1 0.000 0.500 0.500 1
```

Peak list (6 most intense, 10° ≤ 2θ ≤ 90°, in order of rising 2θ)
2θ 31.66, d = 2.826 Å, I = 100, hkl 1 1 1
2θ 36.72, d = 2.448 Å, I = 58, hkl 2 0 0
2θ 52.90, d = 1.731 Å, I = 41, hkl 2 2 0
2θ 62.97, d = 1.476 Å, I = 43, hkl 3 1 1
2θ 86.70, d = 1.123 Å, I = 19, hkl 3 3 1
2θ 89.54, d = 1.095 Å, I = 20, hkl 4 2 0